Diffraction record for Li2TlMoO4. The X-ray diffraction stick pattern is computed, not measured: it uses a crystal structure in Alexandria, relaxed with PBE+U and a wavelength of 1.5418 Å.
Peak positions follow from Bragg's law for the DFT cell and can differ from measured ones.

Main lines, low angle first (10 to 90 degrees two-theta):
| h k l | 2θ/deg | I (rel.) |
| --- | --- | --- |
| 1 0 1 | 19.8 | 15 |
| 1 1 0 | 22.9 | 100 |
| 1 1 2 | 32.6 | 86 |
| 1 0 3 | 38.5 | 19 |
| 2 0 2 | 40.2 | 34 |
| 2 2 0 | 46.8 | 14 |
| 2 2 2 | 52.7 | 26 |
| 2 0 4 | 58.2 | 40 |

Cell and atoms:
```
data_Li2TlMoO4
_chemical_formula_sum 'Li4 Tl2 Mo2 O8'
_symmetry_space_group_name_H-M 'I -4 2 m'
_symmetry_Int_Tables_number 121
_symmetry_space_group_name_Hall 'I -4 2'
_cell_length_a 5.495
_cell_length_b 5.495
_cell_length_c 7.750
_cell_angle_alpha 90.00
_cell_angle_beta 90.00
_cell_angle_gamma 90.00
loop_
_atom_site_label
_atom_site_fract_x
_atom_site_fract_y
_atom_site_fract_z
Li1 0.000 0.500 0.250
Tl1 0.000 0.000 0.000
Mo1 0.000 0.000 0.500
O1 0.188 0.188 0.652
```